# BaNa2In2Bi2
Simulated powder diffractogram, a wavelength of 1.5418 Å. Input: DFT lattice parameters and positions (GGA-PBE).
Kinematic intensities with the Lorentz-polarization factor, no thermal factor.

Principal peaks in the range 2θ from 15° to 90°, in order of falling intensity:
Position (°2θ)  I/Imax
32.88  1000
22.87  870
29.60  438
38.45  339
19.38  306
37.89  217
52.18  210
40.43  204
58.70  192
53.05  189

Structure:
Cell lengths 9.6851, 9.6851, 9.6851 Å; angles 32.67, 32.67, 32.67 degrees
Fractional coordinates of all 7 atoms:
Ba1 0.0000 0.0000 0.0000
Na1 0.1396 0.1396 0.1396
Na2 0.8604 0.8604 0.8604
In1 0.4370 0.4370 0.4370
In2 0.5630 0.5630 0.5630
Bi1 0.2543 0.2543 0.2543
Bi2 0.7457 0.7457 0.7457



# Tb4SN3
Simulated powder diffractogram, a wavelength of 1.5418 Å. Input: DFT lattice parameters and positions (GGA-PBE).
Kinematic intensities with the Lorentz-polarization factor, no thermal factor.

Principal peaks in the range 2θ from 15° to 90°, in order of falling intensity:
Position (°2θ)  I/Imax
35.19  1000
30.57  997
51.18  393
29.70  238
50.05  219
60.29  208
63.63  172
85.92  152
60.79  150
66.86  129

Structure:
Cell lengths 12.2075, 12.2075, 12.2075 Å; angles 16.82, 16.82, 16.82 degrees
Fractional coordinates of all 8 atoms:
Tb1 0.1142 0.1142 0.1142
Tb2 0.3711 0.3711 0.3711
Tb3 0.6289 0.6289 0.6289
Tb4 0.8858 0.8858 0.8858
S1 0.5000 0.5000 0.5000
N1 0.0000 0.0000 0.0000
N2 0.2528 0.2528 0.2528
N3 0.7472 0.7472 0.7472